(1)
This entry pairs a crystal structure of MnFe3Ge3 with its simulated powder X-ray diffraction pattern. Radiation: Cu Kα, 1.54184 Å. Structure: the PBE geometry in Alexandria.
Kinematic intensities with the Lorentz-polarization factor, no thermal factor.

Atomic structure:
Cell: 6.8586 6.8586 4.4334 Å, 90.00 90.00 120.00°
Positions (direct):
Mn1 0.3333 0.6667 0.2500
Mn2 0.6667 0.3333 0.7500
Fe1 0.1009 0.6410 0.7500
Fe2 0.3590 0.4600 0.7500
Fe3 0.4600 0.1009 0.2500
Fe4 0.5400 0.8991 0.7500
Fe5 0.6410 0.5400 0.2500
Fe6 0.8991 0.3590 0.2500
Ge1 0.0422 0.7643 0.2500
Ge2 0.2357 0.2779 0.2500
Ge3 0.2779 0.0422 0.7500
Ge4 0.7221 0.9578 0.2500
Ge5 0.7643 0.7221 0.7500
Ge6 0.9578 0.2357 0.7500

Top 10 peaks for 5° ≤ 2θ ≤ 70°, by angle:
- 26.0°, intensity 5.9
- 30.1°, intensity 3.1
- 33.0°, intensity 5.6
- 40.2°, intensity 27.1
- 40.7°, intensity 37.1
- 45.3°, intensity 100.0
- 45.8°, intensity 5.0
- 57.6°, intensity 3.6
- 58.5°, intensity 16.8
- 62.9°, intensity 3.7

(2)
This entry pairs a crystal structure of MnFe2Ni7Ge2 with its simulated powder X-ray diffraction pattern. Radiation: Cu Kα, 1.54184 Å. Structure: the PBE geometry in Alexandria.
Kinematic intensities with the Lorentz-polarization factor, no thermal factor.

Atomic structure:
Cell: 3.5692 3.5692 11.3460 Å, 90.00 90.00 90.14°
Positions (direct):
Mn1 0.0000 0.0000 0.0000
Fe1 0.5000 0.5000 0.3213
Fe2 0.5000 0.5000 0.6787
Ni1 0.0000 0.5000 0.1593
Ni2 0.0000 0.5000 0.8407
Ni3 0.2448 0.7552 0.5000
Ni4 0.5000 0.0000 0.1593
Ni5 0.5000 0.0000 0.8407
Ni6 0.5000 0.5000 0.0000
Ni7 0.7552 0.2448 0.5000
Ge1 0.0000 0.0000 0.3113
Ge2 0.0000 0.0000 0.6887

Top 10 peaks for 5° ≤ 2θ ≤ 70°, by angle:
- 35.6°, intensity 7.0
- 36.5°, intensity 12.9
- 39.1°, intensity 6.2
- 43.1°, intensity 100.0
- 48.1°, intensity 21.5
- 48.3°, intensity 15.1
- 51.2°, intensity 19.1
- 51.9°, intensity 10.8
- 53.9°, intensity 10.9
- 54.4°, intensity 6.2